[1]
This entry pairs a crystal structure of ErNi7B3 with its calculated powder XRD pattern. Radiation: λ = 1.5418 Å (Cu Kα). Structure: a cell relaxed with GGA-PBE.
Peak positions follow from Bragg's law for the DFT cell and can differ from measured ones.

Structure:
a = 7.6342 Å, b = 7.6342 Å, c = 15.5572 Å
α = 90.00°, β = 90.00°, γ = 90.00°
Space group I4_1/amd (No. 141, origin choice 2)
Asymmetric unit:
Er1 0.0000 0.2500 0.0908 (multiplicity 8)
Ni1 0.0000 0.0000 0.5000 (multiplicity 8)
Ni2 0.0000 0.0383 0.2318 (multiplicity 16)
Ni3 0.0000 0.0877 0.9314 (multiplicity 16)
Ni4 0.1877 0.0623 0.3750 (multiplicity 16)
B1 0.0000 0.2500 0.3165 (multiplicity 8)
B2 0.2099 0.0000 0.0000 (multiplicity 16)

Most intense lines, 15 to 90 degrees two-theta, by intensity:
- 2θ 46.32, 1.960 Å, intensity 100, (3 2 3)
- 2θ 40.69, 2.217 Å, intensity 94, (2 2 4)
- 2θ 39.07, 2.306 Å, intensity 88, (3 1 2)
- 2θ 42.36, 2.134 Å, intensity 75, (1 0 7)
- 2θ 47.65, 1.909 Å, intensity 41, (4 0 0)
- 2θ 46.08, 1.970 Å, intensity 38, (3 0 5)
- 2θ 73.35, 1.291 Å, intensity 36, (5 3 2)
- 2θ 20.02, 4.435 Å, intensity 34, (1 1 2)



[2]
This entry pairs a crystal structure of ErBO3 with its calculated powder XRD pattern. Radiation: λ = 1.5418 Å (Cu Kα). Structure: a cell relaxed with GGA-PBE.
Peak positions follow from Bragg's law for the DFT cell and can differ from measured ones.

Structure:
a = 11.3004 Å, b = 6.5353 Å, c = 9.5712 Å
α = 90.00°, β = 112.78°, γ = 90.00°
Space group C2/c (No. 15)
Asymmetric unit:
Er1 0.0855 0.2442 0.4994 (multiplicity 8)
Er2 0.2500 0.2500 0.0000 (multiplicity 4)
B1 0.0000 0.1746 0.7500 (multiplicity 4)
B2 0.1206 0.4616 0.2468 (multiplicity 8)
O1 0.0000 0.3636 0.2500 (multiplicity 4)
O2 0.0485 0.0655 0.8924 (multiplicity 8)
O3 0.1092 0.3076 0.7482 (multiplicity 8)
O4 0.1258 0.4078 0.1018 (multiplicity 8)
O5 0.2232 0.4067 0.3888 (multiplicity 8)

Most intense lines, 15 to 90 degrees two-theta, by intensity:
- 2θ 27.32, 3.265 Å, intensity 100, (0 2 0)
- 2θ 34.11, 2.629 Å, intensity 77, (3 1 1)
- 2θ 20.12, 4.412 Å, intensity 62, (0 0 2)
- 2θ 34.27, 2.616 Å, intensity 38, (3 1 -3)
- 2θ 48.28, 1.885 Å, intensity 34, (6 0 -2)
- 2θ 52.72, 1.736 Å, intensity 20, (6 0 0)
- 2θ 49.75, 1.833 Å, intensity 18, (3 1 3)
- 2θ 49.88, 1.828 Å, intensity 18, (0 2 4)



[3]
This entry pairs a crystal structure of Er2B4O9 with its calculated powder XRD pattern. Radiation: λ = 1.5418 Å (Cu Kα). Structure: a cell relaxed with GGA-PBE.
Peak positions follow from Bragg's law for the DFT cell and can differ from measured ones.

Structure:
a = 6.1746 Å, b = 6.4294 Å, c = 7.4720 Å
α = 102.59°, β = 97.17°, γ = 102.41°
Space group P-1 (No. 2)
Asymmetric unit:
Er1 0.0499 0.0907 0.2878 (multiplicity 2)
Er2 0.3872 0.6771 0.3599 (multiplicity 2)
B1 0.1264 0.3566 0.6505 (multiplicity 2)
B2 0.1615 0.6829 0.9274 (multiplicity 2)
B3 0.2314 0.3335 0.9814 (multiplicity 2)
B4 0.4943 0.1449 0.1903 (multiplicity 2)
O1 0.0049 0.7921 0.0214 (multiplicity 2)
O2 0.0390 0.5378 0.7475 (multiplicity 2)
O3 0.0805 0.8184 0.4462 (multiplicity 2)
O4 0.2644 0.2629 0.7881 (multiplicity 2)
O5 0.2740 0.5723 0.0430 (multiplicity 2)
O6 0.2812 0.4048 0.5213 (multiplicity 2)
O7 0.3121 0.8692 0.8786 (multiplicity 2)
O8 0.3603 0.2825 0.1445 (multiplicity 2)
O9 0.4296 0.0433 0.3258 (multiplicity 2)

Most intense lines, 15 to 90 degrees two-theta, by intensity:
- 2θ 30.06, 2.973 Å, intensity 100, (2 -1 0)
- 2θ 29.48, 3.030 Å, intensity 70, (1 1 1)
- 2θ 28.88, 3.092 Å, intensity 49, (0 2 -1)
- 2θ 17.60, 5.039 Å, intensity 45, (1 0 -1)
- 2θ 23.43, 3.796 Å, intensity 42, (1 1 0)
- 2θ 26.63, 3.348 Å, intensity 38, (1 0 -2)
- 2θ 32.02, 2.795 Å, intensity 33, (0 1 2)
- 2θ 35.86, 2.504 Å, intensity 30, (2 1 -1)